Entry 1:
Starting from a structure optimized by DFT (GGA+U), the powder X-ray diffraction pattern of MgFe6O6F6 was calculated for Cu Kα (λ = 1.5418 Å).
Kinematic intensities with the Lorentz-polarization factor, no thermal factor.

The 10 most intense peaks (15° ≤ 2θ ≤ 90°), in order of rising 2θ:
24.1 deg, d = 3.695 Å, rel. 100, (0 1 -3)
26.9 deg, d = 3.310 Å, rel. 90, (0 1 3)
34.3 deg, d = 2.618 Å, rel. 59, (1 1 0)
34.7 deg, d = 2.586 Å, rel. 58, (1 0 -3)
49.0 deg, d = 1.861 Å, rel. 45, (1 -2 3)
49.9 deg, d = 1.827 Å, rel. 22, (1 -1 6)
52.1 deg, d = 1.754 Å, rel. 36, (-1 2 3)
53.1 deg, d = 1.726 Å, rel. 22, (-1 1 6)
60.5 deg, d = 1.531 Å, rel. 23, (2 0 0)
65.6 deg, d = 1.424 Å, rel. 21, (1 0 9)

Cell and atoms:
```
data_MgFe6O6F6
_chemical_formula_sum 'Mg1 Fe6 O6 F6'
_space_group_name_H-M_alt 'P 1'
_space_group_IT_number 1
_cell_length_a 3.063
_cell_length_b 5.073
_cell_length_c 14.564
_cell_angle_alpha 96.30
_cell_angle_beta 90.03
_cell_angle_gamma 90.05
loop_
_space_group_symop_operation_xyz
'x,y,z'
loop_
_atom_site_label
_atom_site_type_symbol
_atom_site_fract_x
_atom_site_fract_y
_atom_site_fract_z
Mg1 Mg 0.000 0.000 0.000
Fe1 Fe 0.000 0.498 0.992
Fe2 Fe 0.002 0.546 0.339
Fe3 Fe 0.003 0.515 0.663
Fe4 Fe 0.501 0.930 0.183
Fe5 Fe 0.502 0.017 0.813
Fe6 Fe 0.503 0.035 0.499
O1 O 0.001 0.766 0.233
O2 O 0.500 0.762 0.053
O3 O 0.501 0.228 0.951
O4 O 0.503 0.323 0.590
O5 O 0.503 0.713 0.400
O6 O 0.503 0.721 0.714
F1 F 0.001 0.178 0.128
F2 F 0.001 0.766 0.885
F3 F 0.003 0.203 0.426
F4 F 0.003 0.255 0.763
F5 F 0.003 0.848 0.554
F6 F 0.502 0.288 0.277
```

---

Entry 2:
Starting from a structure optimized by DFT (GGA+U), the powder X-ray diffraction pattern of MgFe4O4F4 was calculated for Cu Kα (λ = 1.5418 Å).
Kinematic intensities with the Lorentz-polarization factor, no thermal factor.

The 10 most intense peaks (15° ≤ 2θ ≤ 90°), in order of rising 2θ:
17.4 deg, d = 5.110 Å, rel. 62, (1 0 0)
25.8 deg, d = 3.455 Å, rel. 100, (1 1 1)
29.2 deg, d = 3.058 Å, rel. 99, (-1 1 1)
31.4 deg, d = 2.850 Å, rel. 57, (1 -1 1)
32.6 deg, d = 2.745 Å, rel. 32, (0 1 2)
37.3 deg, d = 2.413 Å, rel. 50, (2 1 0)
42.0 deg, d = 2.149 Å, rel. 61, (1 -1 2)
49.1 deg, d = 1.857 Å, rel. 43, (-1 2 2)
62.6 deg, d = 1.483 Å, rel. 31, (0 1 4)
63.7 deg, d = 1.462 Å, rel. 33, (3 0 -2)

Cell and atoms:
```
data_MgFe4O4F4
_chemical_formula_sum 'Mg1 Fe4 O4 F4'
_space_group_name_H-M_alt 'P 1'
_space_group_IT_number 1
_cell_length_a 5.164
_cell_length_b 5.199
_cell_length_c 6.000
_cell_angle_alpha 81.20
_cell_angle_beta 87.33
_cell_angle_gamma 82.31
loop_
_space_group_symop_operation_xyz
'x,y,z'
loop_
_atom_site_label
_atom_site_type_symbol
_atom_site_fract_x
_atom_site_fract_y
_atom_site_fract_z
Mg1 Mg 0.000 0.000 0.000
Fe1 Fe 0.014 0.040 0.450
Fe2 Fe 0.541 0.002 0.719
Fe3 Fe 0.612 0.566 0.287
Fe4 Fe 0.915 0.514 0.825
O1 O 0.704 0.779 0.999
O2 O 0.726 0.752 0.518
O3 O 0.824 0.198 0.711
O4 O 0.854 0.289 0.189
F1 F 0.210 0.793 0.745
F2 F 0.233 0.776 0.242
F3 F 0.286 0.224 0.901
F4 F 0.373 0.262 0.452
```

---

Entry 3:
Starting from a structure optimized by DFT (GGA+U), the powder X-ray diffraction pattern of MgFe6O6F6 was calculated for Cu Kα (λ = 1.5418 Å).
Kinematic intensities with the Lorentz-polarization factor, no thermal factor.

The 10 most intense peaks (15° ≤ 2θ ≤ 90°), in order of rising 2θ:
19.2 deg, d = 4.620 Å, rel. 31, (1 0 -1)
23.5 deg, d = 3.782 Å, rel. 80, (1 -1 0)
23.8 deg, d = 3.733 Å, rel. 100, (1 1 0)
33.6 deg, d = 2.667 Å, rel. 20, (0 2 0)
34.0 deg, d = 2.635 Å, rel. 24, (0 1 -3)
34.3 deg, d = 2.618 Å, rel. 22, (1 0 -3)
38.6 deg, d = 2.334 Å, rel. 19, (1 -1 3)
38.9 deg, d = 2.314 Å, rel. 23, (-1 1 3)
39.0 deg, d = 2.309 Å, rel. 22, (2 0 -2)
48.8 deg, d = 1.865 Å, rel. 22, (-2 1 3)

Cell and atoms:
```
data_MgFe6O6F6
_chemical_formula_sum 'Mg1 Fe6 O6 F6'
_space_group_name_H-M_alt 'P 1'
_space_group_IT_number 1
_cell_length_a 5.298
_cell_length_b 5.341
_cell_length_c 8.859
_cell_angle_alpha 92.80
_cell_angle_beta 92.14
_cell_angle_gamma 90.64
loop_
_space_group_symop_operation_xyz
'x,y,z'
loop_
_atom_site_label
_atom_site_type_symbol
_atom_site_fract_x
_atom_site_fract_y
_atom_site_fract_z
Mg1 Mg 0.000 0.000 0.000
Fe1 Fe 0.302 0.063 0.367
Fe2 Fe 0.505 0.935 0.678
Fe3 Fe 0.513 0.945 0.029
Fe4 Fe 0.847 0.454 0.833
Fe5 Fe 0.984 0.585 0.516
Fe6 Fe 0.987 0.534 0.180
O1 O 0.145 0.375 0.364
O2 O 0.219 0.864 0.534
O3 O 0.241 0.893 0.175
O4 O 0.687 0.130 0.845
O5 O 0.721 0.652 0.669
O6 O 0.793 0.681 0.001
F1 F 0.114 0.376 0.684
F2 F 0.150 0.334 0.981
F3 F 0.250 0.862 0.845
F4 F 0.606 0.145 0.508
F5 F 0.764 0.698 0.354
F6 F 0.767 0.176 0.151
```

---

Entry 4:
Starting from a structure optimized by DFT (GGA+U), the powder X-ray diffraction pattern of MgFe6O6F6 was calculated for Cu Kα (λ = 1.5418 Å).
Kinematic intensities with the Lorentz-polarization factor, no thermal factor.

The 10 most intense peaks (15° ≤ 2θ ≤ 90°), in order of rising 2θ:
23.6 deg, d = 3.774 Å, rel. 100, (0 1 -3)
27.3 deg, d = 3.264 Å, rel. 98, (0 1 3)
34.4 deg, d = 2.609 Å, rel. 54, (1 -1 0)
35.0 deg, d = 2.566 Å, rel. 34, (1 0 -3)
35.0 deg, d = 2.565 Å, rel. 33, (1 0 3)
38.0 deg, d = 2.366 Å, rel. 34, (1 -1 3)
49.7 deg, d = 1.834 Å, rel. 44, (1 -1 6)
53.8 deg, d = 1.704 Å, rel. 45, (1 1 6)
61.0 deg, d = 1.519 Å, rel. 23, (2 0 0)
62.7 deg, d = 1.482 Å, rel. 24, (1 -3 0)

Cell and atoms:
```
data_MgFe6O6F6
_chemical_formula_sum 'Mg1 Fe6 O6 F6'
_space_group_name_H-M_alt 'P 1'
_space_group_IT_number 1
_cell_length_a 3.037
_cell_length_b 5.148
_cell_length_c 14.537
_cell_angle_alpha 98.30
_cell_angle_beta 90.02
_cell_angle_gamma 90.00
loop_
_space_group_symop_operation_xyz
'x,y,z'
loop_
_atom_site_label
_atom_site_type_symbol
_atom_site_fract_x
_atom_site_fract_y
_atom_site_fract_z
Mg1 Mg 0.000 0.000 0.000
Fe1 Fe 0.005 0.013 0.514
Fe2 Fe 0.005 0.019 0.195
Fe3 Fe 0.005 0.140 0.818
Fe4 Fe 0.501 0.500 0.020
Fe5 Fe 0.505 0.522 0.670
Fe6 Fe 0.506 0.530 0.349
O1 O 0.005 0.412 0.736
O2 O 0.501 0.154 0.931
O3 O 0.502 0.868 0.100
O4 O 0.505 0.202 0.258
O5 O 0.505 0.222 0.569
O6 O 0.505 0.837 0.436
F1 F 0.000 0.645 0.939
F2 F 0.002 0.320 0.098
F3 F 0.005 0.692 0.270
F4 F 0.006 0.369 0.409
F5 F 0.006 0.721 0.599
F6 F 0.505 0.886 0.753
```

---

Entry 5:
Starting from a structure optimized by DFT (GGA+U), the powder X-ray diffraction pattern of MgFe4O4F4 was calculated for Cu Kα (λ = 1.5418 Å).
Kinematic intensities with the Lorentz-polarization factor, no thermal factor.

The 10 most intense peaks (15° ≤ 2θ ≤ 90°), in order of rising 2θ:
23.1 deg, d = 3.843 Å, rel. 91, (0 1 -2)
27.1 deg, d = 3.296 Å, rel. 100, (0 1 2)
34.4 deg, d = 2.608 Å, rel. 57, (1 -1 0)
34.7 deg, d = 2.587 Å, rel. 27, (0 2 0)
35.0 deg, d = 2.565 Å, rel. 45, (1 0 -2)
35.0 deg, d = 2.563 Å, rel. 37, (1 0 2)
37.9 deg, d = 2.375 Å, rel. 49, (1 1 -2)
49.3 deg, d = 1.848 Å, rel. 51, (1 -1 4)
53.6 deg, d = 1.711 Å, rel. 53, (1 1 4)
61.4 deg, d = 1.510 Å, rel. 40, (2 0 0)

Cell and atoms:
```
data_MgFe4O4F4
_chemical_formula_sum 'Mg1 Fe4 O4 F4'
_space_group_name_H-M_alt 'P 1'
_space_group_IT_number 1
_cell_length_a 3.020
_cell_length_b 5.235
_cell_length_c 9.814
_cell_angle_alpha 98.79
_cell_angle_beta 90.01
_cell_angle_gamma 90.06
loop_
_space_group_symop_operation_xyz
'x,y,z'
loop_
_atom_site_label
_atom_site_type_symbol
_atom_site_fract_x
_atom_site_fract_y
_atom_site_fract_z
Mg1 Mg 0.000 0.000 0.000
Fe1 Fe 0.002 0.856 0.268
Fe2 Fe 0.008 0.985 0.711
Fe3 Fe 0.501 0.499 0.971
Fe4 Fe 0.506 0.476 0.484
O1 O 0.006 0.578 0.386
O2 O 0.500 0.845 0.105
O3 O 0.503 0.129 0.856
O4 O 0.507 0.796 0.622
F1 F 0.001 0.352 0.092
F2 F 0.002 0.678 0.859
F3 F 0.007 0.295 0.603
F4 F 0.504 0.110 0.372
```

---

Entry 6:
Starting from a structure optimized by DFT (GGA+U), the powder X-ray diffraction pattern of MgFe6O6F6 was calculated for Cu Kα (λ = 1.5418 Å).
Kinematic intensities with the Lorentz-polarization factor, no thermal factor.

The 10 most intense peaks (15° ≤ 2θ ≤ 90°), in order of rising 2θ:
25.2 deg, d = 3.535 Å, rel. 95, (0 0 3)
25.3 deg, d = 3.515 Å, rel. 100, (0 2 1)
34.1 deg, d = 2.633 Å, rel. 63, (1 1 -1)
34.3 deg, d = 2.613 Å, rel. 53, (-1 1 2)
35.5 deg, d = 2.528 Å, rel. 23, (0 2 -2)
38.8 deg, d = 2.323 Å, rel. 50, (1 0 3)
50.1 deg, d = 1.820 Å, rel. 21, (1 1 -4)
50.3 deg, d = 1.814 Å, rel. 27, (1 -3 0)
50.7 deg, d = 1.800 Å, rel. 33, (-1 1 5)
60.0 deg, d = 1.542 Å, rel. 24, (2 0 0)

Cell and atoms:
```
data_MgFe6O6F6
_chemical_formula_sum 'Mg1 Fe6 O6 F6'
_space_group_name_H-M_alt 'P 1'
_space_group_IT_number 1
_cell_length_a 3.084
_cell_length_b 7.032
_cell_length_c 11.085
_cell_angle_alpha 73.10
_cell_angle_beta 89.90
_cell_angle_gamma 89.88
loop_
_space_group_symop_operation_xyz
'x,y,z'
loop_
_atom_site_label
_atom_site_type_symbol
_atom_site_fract_x
_atom_site_fract_y
_atom_site_fract_z
Mg1 Mg 0.000 0.000 0.000
Fe1 Fe 0.486 0.007 0.504
Fe2 Fe 0.493 0.392 0.846
Fe3 Fe 0.494 0.688 0.205
Fe4 Fe 0.980 0.832 0.781
Fe5 Fe 0.989 0.203 0.164
Fe6 Fe 0.989 0.557 0.499
O1 O 0.480 0.658 0.830
O2 O 0.488 0.723 0.514
O3 O 0.496 0.984 0.134
O4 O 0.986 0.007 0.607
O5 O 0.993 0.295 0.958
O6 O 0.993 0.635 0.314
F1 F 0.487 0.397 0.184
F2 F 0.489 0.356 0.499
F3 F 0.501 0.027 0.869
F4 F 0.985 0.086 0.364
F5 F 0.988 0.408 0.707
F6 F 0.994 0.711 0.065
```

---

Entry 7:
Starting from a structure optimized by DFT (GGA+U), the powder X-ray diffraction pattern of MgFe6O6F6 was calculated for Cu Kα (λ = 1.5418 Å).
Kinematic intensities with the Lorentz-polarization factor, no thermal factor.

The 10 most intense peaks (15° ≤ 2θ ≤ 90°), in order of rising 2θ:
18.1 deg, d = 4.895 Å, rel. 69, (0 0 3)
24.7 deg, d = 3.605 Å, rel. 80, (1 0 -3)
25.6 deg, d = 3.476 Å, rel. 65, (1 0 3)
29.4 deg, d = 3.037 Å, rel. 43, (1 0 -4)
33.5 deg, d = 2.677 Å, rel. 100, (1 1 0)
37.7 deg, d = 2.387 Å, rel. 41, (0 1 4)
38.0 deg, d = 2.368 Å, rel. 65, (1 1 -3)
50.0 deg, d = 1.823 Å, rel. 56, (1 1 -6)
58.8 deg, d = 1.570 Å, rel. 41, (0 2 0)
61.9 deg, d = 1.500 Å, rel. 42, (3 1 0)

Cell and atoms:
```
data_MgFe6O6F6
_chemical_formula_sum 'Mg1 Fe6 O6 F6'
_space_group_name_H-M_alt 'P 1'
_space_group_IT_number 1
_cell_length_a 5.125
_cell_length_b 3.140
_cell_length_c 14.694
_cell_angle_alpha 90.00
_cell_angle_beta 92.09
_cell_angle_gamma 90.00
loop_
_space_group_symop_operation_xyz
'x,y,z'
loop_
_atom_site_label
_atom_site_type_symbol
_atom_site_fract_x
_atom_site_fract_y
_atom_site_fract_z
Mg1 Mg 0.000 0.000 0.000
Fe1 Fe 0.513 0.500 0.331
Fe2 Fe 0.519 0.500 0.021
Fe3 Fe 0.525 0.500 0.649
Fe4 Fe 0.948 0.000 0.188
Fe5 Fe 0.964 0.000 0.483
Fe6 Fe 0.978 0.000 0.718
O1 O 0.336 0.000 0.699
O2 O 0.650 0.000 0.275
O3 O 0.759 0.000 0.601
O4 O 0.791 0.500 0.434
O5 O 0.806 0.500 0.753
O6 O 0.864 0.500 0.088
F1 F 0.172 0.500 0.938
F2 F 0.176 0.500 0.255
F3 F 0.209 0.500 0.549
F4 F 0.293 0.000 0.404
F5 F 0.314 0.000 0.087
F6 F 0.659 0.000 0.937
```

---

Entry 8:
Starting from a structure optimized by DFT (GGA+U), the powder X-ray diffraction pattern of MgFe8O14F2 was calculated for Cu Kα (λ = 1.5418 Å).
Kinematic intensities with the Lorentz-polarization factor, no thermal factor.

The 10 most intense peaks (15° ≤ 2θ ≤ 90°), in order of rising 2θ:
27.7 deg, d = 3.224 Å, rel. 74, (1 -1 0)
27.9 deg, d = 3.197 Å, rel. 100, (1 1 0)
28.0 deg, d = 3.186 Å, rel. 35, (1 1 -1)
28.3 deg, d = 3.154 Å, rel. 31, (1 -1 1)
34.2 deg, d = 2.623 Å, rel. 32, (1 0 4)
34.7 deg, d = 2.585 Å, rel. 38, (0 1 4)
37.3 deg, d = 2.410 Å, rel. 28, (0 1 -5)
39.5 deg, d = 2.282 Å, rel. 26, (0 2 -1)
40.1 deg, d = 2.251 Å, rel. 26, (2 0 -1)
57.1 deg, d = 1.612 Å, rel. 27, (2 -2 0)

Cell and atoms:
```
data_MgFe8O14F2
_chemical_formula_sum 'Mg1 Fe8 O14 F2'
_space_group_name_H-M_alt 'P 1'
_space_group_IT_number 1
_cell_length_a 4.529
_cell_length_b 4.578
_cell_length_c 13.474
_cell_angle_alpha 95.35
_cell_angle_beta 93.11
_cell_angle_gamma 90.19
loop_
_space_group_symop_operation_xyz
'x,y,z'
loop_
_atom_site_label
_atom_site_type_symbol
_atom_site_fract_x
_atom_site_fract_y
_atom_site_fract_z
Mg1 Mg 0.000 0.000 0.000
Fe1 Fe 0.207 0.764 0.268
Fe2 Fe 0.235 0.800 0.501
Fe3 Fe 0.259 0.876 0.727
Fe4 Fe 0.425 0.576 0.020
Fe5 Fe 0.655 0.163 0.168
Fe6 Fe 0.717 0.276 0.398
Fe7 Fe 0.745 0.330 0.618
Fe8 Fe 0.862 0.365 0.837
O1 O 0.011 0.954 0.152
O2 O 0.021 0.969 0.389
O3 O 0.051 0.026 0.612
O4 O 0.085 0.023 0.852
O5 O 0.414 0.581 0.389
O6 O 0.439 0.529 0.156
O7 O 0.449 0.643 0.618
O8 O 0.515 0.056 0.287
O9 O 0.521 0.021 0.027
O10 O 0.531 0.111 0.508
O11 O 0.582 0.155 0.735
O12 O 0.930 0.497 0.504
O13 O 0.984 0.548 0.727
O14 O 0.997 0.506 0.982
F1 F 0.495 0.575 0.877
F2 F 0.912 0.445 0.273
```

---

Entry 9:
Starting from a structure optimized by DFT (GGA+U), the powder X-ray diffraction pattern of MgFe8O14F2 was calculated for Cu Kα (λ = 1.5418 Å).
Kinematic intensities with the Lorentz-polarization factor, no thermal factor.

The 10 most intense peaks (15° ≤ 2θ ≤ 90°), in order of rising 2θ:
22.1 deg, d = 4.023 Å, rel. 100, (1 1 0)
27.4 deg, d = 3.253 Å, rel. 98, (1 -1 0)
35.5 deg, d = 2.527 Å, rel. 41, (1 0 4)
35.8 deg, d = 2.507 Å, rel. 33, (1 0 -4)
38.0 deg, d = 2.369 Å, rel. 14, (1 1 4)
47.9 deg, d = 1.897 Å, rel. 16, (2 1 4)
48.6 deg, d = 1.873 Å, rel. 15, (2 1 -4)
53.9 deg, d = 1.701 Å, rel. 21, (2 -1 4)
54.1 deg, d = 1.695 Å, rel. 22, (-2 1 4)
56.6 deg, d = 1.626 Å, rel. 14, (2 -2 0)

Cell and atoms:
```
data_MgFe8O14F2
_chemical_formula_sum 'Mg1 Fe8 O14 F2'
_space_group_name_H-M_alt 'P 1'
_space_group_IT_number 1
_cell_length_a 5.173
_cell_length_b 5.175
_cell_length_c 11.605
_cell_angle_alpha 89.35
_cell_angle_beta 89.40
_cell_angle_gamma 77.91
loop_
_space_group_symop_operation_xyz
'x,y,z'
loop_
_atom_site_label
_atom_site_type_symbol
_atom_site_fract_x
_atom_site_fract_y
_atom_site_fract_z
Mg1 Mg 0.000 0.000 0.000
Fe1 Fe 0.118 0.100 0.623
Fe2 Fe 0.273 0.276 0.388
Fe3 Fe 0.280 0.285 0.137
Fe4 Fe 0.291 0.282 0.871
Fe5 Fe 0.668 0.670 0.005
Fe6 Fe 0.670 0.727 0.753
Fe7 Fe 0.693 0.695 0.259
Fe8 Fe 0.696 0.690 0.508
O1 O 0.012 0.383 0.507
O2 O 0.015 0.379 0.002
O3 O 0.043 0.425 0.263
O4 O 0.357 0.016 0.756
O5 O 0.377 0.017 0.007
O6 O 0.389 0.011 0.503
O7 O 0.424 0.047 0.263
O8 O 0.514 0.522 0.881
O9 O 0.518 0.519 0.129
O10 O 0.526 0.525 0.384
O11 O 0.533 0.562 0.642
O12 O 0.826 0.844 0.883
O13 O 0.834 0.831 0.118
O14 O 0.866 0.876 0.634
F1 F 0.867 0.863 0.384
F2 F 0.992 0.392 0.756
```

---

Entry 10:
Starting from a structure optimized by DFT (GGA+U), the powder X-ray diffraction pattern of MgFe8O14F2 was calculated for Cu Kα (λ = 1.5418 Å).
Kinematic intensities with the Lorentz-polarization factor, no thermal factor.

The 10 most intense peaks (15° ≤ 2θ ≤ 90°), in order of rising 2θ:
23.7 deg, d = 3.756 Å, rel. 100, (1 0 -1)
26.6 deg, d = 3.352 Å, rel. 90, (1 2 1)
35.4 deg, d = 2.533 Å, rel. 15, (0 2 2)
35.6 deg, d = 2.522 Å, rel. 23, (1 0 3)
35.8 deg, d = 2.509 Å, rel. 23, (1 -2 1)
35.9 deg, d = 2.500 Å, rel. 35, (0 2 -2)
50.3 deg, d = 1.815 Å, rel. 19, (1 2 -3)
52.7 deg, d = 1.735 Å, rel. 16, (2 2 4)
53.3 deg, d = 1.718 Å, rel. 15, (3 2 3)
54.8 deg, d = 1.676 Å, rel. 15, (2 4 2)

Cell and atoms:
```
data_MgFe8O14F2
_chemical_formula_sum 'Mg1 Fe8 O14 F2'
_space_group_name_H-M_alt 'P 1'
_space_group_IT_number 1
_cell_length_a 5.760
_cell_length_b 7.290
_cell_length_c 7.742
_cell_angle_alpha 83.45
_cell_angle_beta 71.63
_cell_angle_gamma 71.20
loop_
_space_group_symop_operation_xyz
'x,y,z'
loop_
_atom_site_label
_atom_site_type_symbol
_atom_site_fract_x
_atom_site_fract_y
_atom_site_fract_z
Mg1 Mg 0.000 0.000 0.000
Fe1 Fe 0.126 0.365 0.612
Fe2 Fe 0.181 0.863 0.582
Fe3 Fe 0.404 0.145 0.852
Fe4 Fe 0.457 0.607 0.816
Fe5 Fe 0.517 0.398 0.160
Fe6 Fe 0.569 0.865 0.140
Fe7 Fe 0.806 0.136 0.411
Fe8 Fe 0.867 0.649 0.373
O1 O 0.056 0.258 0.859
O2 O 0.063 0.134 0.532
O3 O 0.201 0.466 0.353
O4 O 0.222 0.605 0.684
O5 O 0.275 0.044 0.090
O6 O 0.315 0.882 0.778
O7 O 0.471 0.362 0.929
O8 O 0.491 0.212 0.601
O9 O 0.513 0.789 0.393
O10 O 0.533 0.647 0.033
O11 O 0.679 0.122 0.202
O12 O 0.781 0.545 0.617
O13 O 0.931 0.740 0.131
O14 O 0.958 0.860 0.451
F1 F 0.758 0.963 0.867
F2 F 0.773 0.406 0.293
```

---

Entry 11:
Starting from a structure optimized by DFT (GGA+U), the powder X-ray diffraction pattern of MgFe6O6F6 was calculated for Cu Kα (λ = 1.5418 Å).
Kinematic intensities with the Lorentz-polarization factor, no thermal factor.

The 10 most intense peaks (15° ≤ 2θ ≤ 90°), in order of rising 2θ:
23.3 deg, d = 3.811 Å, rel. 100, (1 0 -3)
26.9 deg, d = 3.313 Å, rel. 88, (1 0 3)
34.1 deg, d = 2.626 Å, rel. 48, (1 1 0)
34.7 deg, d = 2.585 Å, rel. 68, (0 1 3)
40.2 deg, d = 2.245 Å, rel. 19, (1 1 3)
48.0 deg, d = 1.896 Å, rel. 22, (2 1 -3)
49.2 deg, d = 1.851 Å, rel. 21, (1 1 -6)
51.9 deg, d = 1.761 Å, rel. 24, (2 1 3)
53.1 deg, d = 1.724 Å, rel. 22, (1 1 6)
60.7 deg, d = 1.526 Å, rel. 22, (0 2 0)

Cell and atoms:
```
data_MgFe6O6F6
_chemical_formula_sum 'Mg1 Fe6 O6 F6'
_space_group_name_H-M_alt 'P 1'
_space_group_IT_number 1
_cell_length_a 5.203
_cell_length_b 3.052
_cell_length_c 14.728
_cell_angle_alpha 90.00
_cell_angle_beta 98.00
_cell_angle_gamma 90.00
loop_
_space_group_symop_operation_xyz
'x,y,z'
loop_
_atom_site_label
_atom_site_type_symbol
_atom_site_fract_x
_atom_site_fract_y
_atom_site_fract_z
Mg1 Mg 0.000 0.000 0.000
Fe1 Fe 0.351 0.000 0.655
Fe2 Fe 0.373 0.000 0.339
Fe3 Fe 0.515 0.000 0.976
Fe4 Fe 0.859 0.500 0.191
Fe5 Fe 0.864 0.500 0.806
Fe6 Fe 0.889 0.500 0.487
O1 O 0.054 0.000 0.571
O2 O 0.057 0.000 0.243
O3 O 0.682 0.000 0.754
O4 O 0.691 0.000 0.434
O5 O 0.759 0.500 0.929
O6 O 0.760 0.000 0.093
F1 F 0.161 0.000 0.881
F2 F 0.179 0.500 0.412
F3 F 0.193 0.500 0.733
F4 F 0.252 0.500 0.033
F5 F 0.526 0.500 0.603
F6 F 0.555 0.500 0.254
```